(1)
Computed X-ray diffraction stick pattern
Compound: BiRhS
Radiation: a wavelength of 1.5418 Å
Structure: a GGA-PBE-relaxed structure

Cell and atoms:
a = 6.222 Å, b = 6.222 Å, c = 6.222 Å
α = 90.00°, β = 90.00°, γ = 90.00°
Element x y z (fractional)
Bi1 0.127 0.373 0.627
Bi2 0.373 0.627 0.127
Bi3 0.627 0.127 0.373
Bi4 0.873 0.873 0.873
Rh1 0.022 0.978 0.478
Rh2 0.478 0.022 0.978
Rh3 0.522 0.522 0.522
Rh4 0.978 0.478 0.022
S1 0.119 0.119 0.119
S2 0.381 0.881 0.619
S3 0.619 0.381 0.881
S4 0.881 0.619 0.381

Largest 6 diffraction maxima, by angle, 10 to 90 degrees two-theta:
d = 4.400 Å, 20.2 deg, I 30, hkl 1 1 0; d = 2.783 Å, 32.2 deg, I 100, hkl 2 1 0; d = 2.540 Å, 35.3 deg, I 49, hkl 2 1 1; d = 1.876 Å, 48.5 deg, I 46, hkl 3 1 1; d = 1.663 Å, 55.2 deg, I 29, hkl 3 1 2; d = 1.155 Å, 83.7 deg, I 23, hkl 5 0 2

***

(2)
Computed X-ray diffraction stick pattern
Compound: SrBiBr5O8
Radiation: a wavelength of 1.5418 Å
Structure: a GGA-PBE-relaxed structure

Cell and atoms:
a = 12.834 Å, b = 16.035 Å, c = 9.448 Å
α = 90.00°, β = 90.00°, γ = 90.00°
Element x y z (fractional)
Sr1 0.127 0.120 0.000
Sr2 0.373 0.620 0.000
Sr3 0.627 0.380 0.000
Sr4 0.873 0.880 0.000
Bi1 0.186 0.512 0.500
Bi2 0.314 0.012 0.500
Bi3 0.686 0.988 0.500
Bi4 0.814 0.488 0.500
Br1 0.003 0.619 0.500
Br2 0.157 0.124 0.500
Br3 0.194 0.867 0.500
Br4 0.220 0.495 0.198
Br5 0.220 0.495 0.802
Br6 0.280 0.995 0.198
Br7 0.280 0.995 0.802
Br8 0.306 0.367 0.500
Br9 0.343 0.624 0.500
Br10 0.497 0.119 0.500
Br11 0.503 0.881 0.500
Br12 0.657 0.376 0.500
Br13 0.694 0.633 0.500
Br14 0.720 0.005 0.198
Br15 0.720 0.005 0.802
Br16 0.780 0.505 0.198
Br17 0.780 0.505 0.802
Br18 0.806 0.133 0.500
Br19 0.843 0.876 0.500
Br20 0.997 0.381 0.500
O1 0.004 0.960 0.146
O2 0.004 0.960 0.854
O3 0.008 0.462 0.000
O4 0.170 0.251 0.175
O5 0.170 0.251 0.825
O6 0.212 0.549 0.000
O7 0.241 0.768 0.215
O8 0.241 0.768 0.785
O9 0.259 0.268 0.215
O10 0.259 0.268 0.785
O11 0.288 0.049 0.000
O12 0.330 0.751 0.175
O13 0.330 0.751 0.825
O14 0.492 0.962 0.000
O15 0.496 0.460 0.146
O16 0.496 0.460 0.854
O17 0.504 0.540 0.146
O18 0.504 0.540 0.854
O19 0.508 0.038 0.000
O20 0.670 0.249 0.175
O21 0.670 0.249 0.825
O22 0.712 0.951 0.000
O23 0.741 0.732 0.215
O24 0.741 0.732 0.785
O25 0.759 0.232 0.215
O26 0.759 0.232 0.785
O27 0.788 0.451 0.000
O28 0.830 0.749 0.175
O29 0.830 0.749 0.825
O30 0.992 0.538 0.000
O31 0.996 0.040 0.146
O32 0.996 0.040 0.854

Largest 6 diffraction maxima, by angle, 10 to 90 degrees two-theta:
d = 8.018 Å, 11.0 deg, I 100, hkl 0 2 0; d = 6.874 Å, 12.9 deg, I 33, hkl 1 1 1; d = 6.417 Å, 13.8 deg, I 51, hkl 2 0 0; d = 4.724 Å, 18.8 deg, I 34, hkl 0 0 2; d = 3.340 Å, 26.7 deg, I 51, hkl 3 3 0; d = 3.149 Å, 28.3 deg, I 52, hkl 0 0 3